Simulated powder X-ray diffraction pattern
Compound: Tb3Sn4Pb3
Radiation: copper Kα
Structure: a GGA-PBE-relaxed structure

Structure:
```
data_Tb3Sn4Pb3
_chemical_formula_sum 'Tb6 Sn8 Pb6'
_cell_length_a 4.485
_cell_length_b 26.758
_cell_length_c 4.500
_cell_angle_alpha 90.00
_cell_angle_beta 90.00
_cell_angle_gamma 90.00
_symmetry_space_group_name_H-M 'C m m m'
_symmetry_Int_Tables_number 65
_symmetry_space_group_name_Hall '-C 2 2'
loop_
_atom_site_label
_atom_site_type_symbol
_atom_site_fract_x
_atom_site_fract_y
_atom_site_fract_z
_atom_site_occupancy
Tb1 Tb 0.000 0.000 0.000 1
Tb2 Tb 0.000 0.312 0.500 1
Sn1 Sn 0.000 0.096 0.500 1
Sn2 Sn 0.000 0.403 0.000 1
Pb1 Pb 0.000 0.209 0.000 1
Pb2 Pb 0.000 0.500 0.500 1
```

The 10 most intense peaks (2θ from 10° to 80°), low angle first:
index  2θ (°)  I_rel
1 5 1  32.78  100
0 10 0  33.49  20
0 0 2  40.08  15
2 0 0  40.21  15
0 10 2  53.19  11
2 10 0  53.30  11
2 0 2  58.07  11
1 15 1  59.42  12
1 5 3  68.22  13
3 5 1  68.41  12